Theoretical XRD peak list
Compound: Tl3In2Bi3
Radiation: Cu Kα, 1.54184 Å
Structure: a DFT-relaxed cell (GGA-PBE, Alexandria)
Intensities are scaled so that the largest is 100.

Largest 12 diffraction maxima, in order of falling intensity, 2θ from 5° to 70°:
| Position (°2θ) | I/Imax |
| --- | --- |
| 29.94 | 100.0 |
| 31.95 | 94.0 |
| 33.95 | 50.2 |
| 48.85 | 31.6 |
| 60.69 | 27.9 |
| 57.07 | 25.4 |
| 39.46 | 21.0 |
| 34.06 | 21.0 |
| 59.64 | 18.4 |
| 53.10 | 14.5 |
| 41.22 | 13.8 |
| 51.47 | 12.1 |

Cell and atoms:
```
Tl3In2Bi3
1.0
9.1191 0.0000 0.0000
-4.5595 7.8974 0.0000
0.0000 0.0000 3.5509
Tl In Bi
3 2 3
Cartesian
-3.4826 6.0321 0.0000 Tl
1.0769 1.8653 0.0000 Tl
6.9653 0.0000 0.0000 Tl
0.0000 5.2649 0.0000 In
4.5596 2.6325 0.0000 In
-1.8518 3.2074 1.7754 Bi
3.7036 0.0000 1.7754 Bi
2.7077 4.6900 1.7754 Bi
```

***

Theoretical XRD peak list
Compound: Dy4Ga16Ni3
Radiation: Cu Kα, 1.54184 Å
Structure: a DFT-relaxed cell (GGA-PBE, Alexandria)
Intensities are scaled so that the largest is 100.

Largest 12 diffraction maxima, in order of falling intensity, 2θ from 5° to 70°:
| Position (°2θ) | I/Imax |
| --- | --- |
| 38.42 | 100.0 |
| 41.92 | 71.6 |
| 33.62 | 50.6 |
| 60.13 | 30.0 |
| 32.06 | 26.7 |
| 41.06 | 25.0 |
| 60.78 | 22.1 |
| 20.60 | 18.4 |
| 44.39 | 17.7 |
| 30.43 | 13.5 |
| 53.73 | 10.4 |
| 67.05 | 7.5 |

Cell and atoms:
```
Dy4Ga16Ni3
1.0
6.0961 0.0000 0.0000
0.0000 6.0961 0.0000
0.0000 0.0000 10.9903
Dy Ga Ni
4 16 3
Cartesian
0.0000 3.0480 2.1188 Dy
0.0000 3.0480 8.8715 Dy
3.0480 0.0000 2.1188 Dy
3.0480 0.0000 8.8715 Dy
0.0000 0.0000 2.1921 Ga
0.0000 0.0000 8.7982 Ga
1.3276 1.3276 0.0000 Ga
1.3276 4.7684 0.0000 Ga
1.4984 1.4984 4.1892 Ga
1.4984 1.4984 6.8011 Ga
1.4984 4.5977 4.1892 Ga
1.4984 4.5977 6.8011 Ga
3.0480 3.0480 2.4756 Ga
3.0480 3.0480 8.5147 Ga
4.5977 1.4984 4.1892 Ga
4.5977 1.4984 6.8011 Ga
4.5977 4.5977 4.1892 Ga
4.5977 4.5977 6.8011 Ga
4.7684 1.3276 0.0000 Ga
4.7684 4.7684 0.0000 Ga
0.0000 3.0480 5.4951 Ni
3.0480 0.0000 5.4951 Ni
3.0480 3.0480 0.0000 Ni
```

***

Theoretical XRD peak list
Compound: VAgCl5
Radiation: Cu Kα, 1.54184 Å
Structure: a DFT-relaxed cell (GGA-PBE, Alexandria)
Intensities are scaled so that the largest is 100.

Largest 12 diffraction maxima, in order of falling intensity, 2θ from 5° to 70°:
| Position (°2θ) | I/Imax |
| --- | --- |
| 19.86 | 100.0 |
| 33.70 | 81.3 |
| 19.00 | 72.4 |
| 17.35 | 61.1 |
| 11.10 | 56.8 |
| 11.59 | 50.4 |
| 28.98 | 49.6 |
| 20.87 | 46.9 |
| 28.47 | 39.4 |
| 13.26 | 35.7 |
| 26.08 | 35.7 |
| 29.23 | 32.1 |

Cell and atoms:
```
VAgCl5
1.0
7.7652 0.0000 0.0000
-2.4531 8.9483 0.0000
-2.4462 -4.0753 7.9729
V Ag Cl
2 2 10
Cartesian
0.7155 -0.1168 2.8140 V
2.1505 4.9898 5.1589 V
-1.2265 4.4741 0.0000 Ag
2.6561 4.4741 0.0000 Ag
-2.6807 7.0014 2.1896 Cl
-0.7220 1.4622 3.0088 Cl
-1.7311 1.5693 7.2513 Cl
2.1654 0.4232 1.3328 Cl
1.6466 -0.4177 4.7334 Cl
1.2194 5.2907 3.2395 Cl
0.7007 4.4498 6.6400 Cl
4.5971 3.3037 0.7216 Cl
3.5880 3.4108 4.9641 Cl
5.5467 -2.1284 5.7833 Cl
```

***

Theoretical XRD peak list
Compound: MgZn2Ga2Au2
Radiation: Cu Kα, 1.54184 Å
Structure: a DFT-relaxed cell (GGA-PBE, Alexandria)
Intensities are scaled so that the largest is 100.

Largest 12 diffraction maxima, in order of falling intensity, 2θ from 5° to 70°:
| Position (°2θ) | I/Imax |
| --- | --- |
| 24.79 | 100.0 |
| 39.42 | 98.2 |
| 40.24 | 84.6 |
| 24.41 | 74.1 |
| 40.78 | 58.3 |
| 42.50 | 50.5 |
| 23.76 | 40.9 |
| 60.34 | 24.9 |
| 63.84 | 24.4 |
| 37.85 | 23.8 |
| 49.61 | 22.7 |
| 45.87 | 22.0 |

Cell and atoms:
```
MgZn2Ga2Au2
1.0
4.0709 -2.1272 0.0000
4.0709 2.1272 0.0000
-3.1132 0.0000 7.2942
Mg Zn Ga Au
1 2 2 2
Cartesian
0.0000 0.0000 0.0000 Mg
-0.3477 0.0000 2.9352 Zn
5.3764 0.0000 4.3590 Zn
2.5056 0.0000 1.3573 Ga
2.5231 0.0000 5.9369 Ga
-0.0628 0.0000 5.5619 Au
5.0915 0.0000 1.7323 Au
```

***

Theoretical XRD peak list
Compound: KSr3Ag
Radiation: Cu Kα, 1.54184 Å
Structure: a DFT-relaxed cell (GGA-PBE, Alexandria)
Intensities are scaled so that the largest is 100.

Largest 12 diffraction maxima, in order of falling intensity, 2θ from 5° to 70°:
| Position (°2θ) | I/Imax |
| --- | --- |
| 7.48 | 100.0 |
| 26.00 | 27.4 |
| 33.98 | 18.3 |
| 28.17 | 14.8 |
| 29.06 | 12.3 |
| 26.37 | 12.0 |
| 31.95 | 11.1 |
| 26.20 | 10.7 |
| 35.87 | 9.7 |
| 24.73 | 9.7 |
| 53.00 | 8.8 |
| 30.75 | 8.6 |

Cell and atoms:
```
KSr3Ag
1.0
5.8437 -3.5999 0.0000
5.8437 3.5999 0.0000
-1.6423 0.0000 11.8218
K Sr Ag
2 6 2
Cartesian
2.0508 0.0000 0.7210 K
7.9943 0.0000 11.1008 K
0.0311 0.0000 8.2600 Sr
2.1345 0.0000 4.8960 Sr
4.0568 0.0000 8.8020 Sr
5.9883 0.0000 3.0198 Sr
7.9106 0.0000 6.9258 Sr
10.0140 0.0000 3.5618 Sr
5.0225 1.4801 5.9109 Ag
5.0225 -1.4801 5.9109 Ag
```

***

Theoretical XRD peak list
Compound: Sc2NbSiI
Radiation: Cu Kα, 1.54184 Å
Structure: a DFT-relaxed cell (GGA-PBE, Alexandria)
Intensities are scaled so that the largest is 100.

Largest 12 diffraction maxima, in order of falling intensity, 2θ from 5° to 70°:
| Position (°2θ) | I/Imax |
| --- | --- |
| 24.42 | 100.0 |
| 35.04 | 60.7 |
| 43.17 | 43.3 |
| 50.04 | 42.2 |
| 24.58 | 34.1 |
| 34.56 | 31.5 |
| 62.54 | 21.0 |
| 50.39 | 20.6 |
| 56.79 | 16.4 |
| 42.87 | 15.5 |
| 17.08 | 13.4 |
| 30.09 | 13.1 |

Cell and atoms:
```
Sc2NbSiI
1.0
5.1223 0.0000 0.0000
0.0000 5.1223 0.0000
0.0000 0.0000 5.1900
Sc Nb Si I
2 1 1 1
Cartesian
0.0000 2.5611 0.0000 Sc
2.5611 0.0000 0.0000 Sc
0.0000 0.0000 2.5950 Nb
2.5611 2.5611 2.5950 Si
2.5611 2.5611 0.0000 I
```

***

Theoretical XRD peak list
Compound: AcTb2OsO8
Radiation: Cu Kα, 1.54184 Å
Structure: a DFT-relaxed cell (GGA-PBE, Alexandria)
Intensities are scaled so that the largest is 100.

Largest 12 diffraction maxima, in order of falling intensity, 2θ from 5° to 70°:
| Position (°2θ) | I/Imax |
| --- | --- |
| 30.73 | 100.0 |
| 24.20 | 52.7 |
| 24.85 | 50.3 |
| 46.86 | 36.8 |
| 47.60 | 36.4 |
| 34.97 | 29.3 |
| 60.10 | 20.2 |
| 64.01 | 12.2 |
| 58.26 | 10.5 |
| 56.23 | 9.8 |
| 49.58 | 9.2 |
| 57.20 | 8.7 |

Cell and atoms:
```
AcTb2OsO8
1.0
3.5828 -3.6773 0.0000
3.5828 3.6773 0.0000
0.0000 0.0000 7.0623
Ac Tb Os O
1 2 1 8
Cartesian
0.0000 0.0000 0.0000 Ac
3.5828 0.0000 1.7556 Tb
3.5828 0.0000 5.3067 Tb
0.0000 0.0000 3.5311 Os
1.3419 0.0000 2.1501 O
1.3419 0.0000 4.9121 O
3.5828 1.7849 3.5311 O
3.5828 1.3066 0.0000 O
3.5828 -1.3066 0.0000 O
3.5828 -1.7849 3.5311 O
5.8237 0.0000 2.1501 O
5.8237 0.0000 4.9121 O
```

***

Theoretical XRD peak list
Compound: CuRe2Pt
Radiation: Cu Kα, 1.54184 Å
Structure: a DFT-relaxed cell (GGA-PBE, Alexandria)
Intensities are scaled so that the largest is 100.

Largest 12 diffraction maxima, in order of falling intensity, 2θ from 5° to 70°:
| Position (°2θ) | I/Imax |
| --- | --- |
| 40.43 | 100.0 |
| 46.58 | 33.4 |
| 69.05 | 20.7 |
| 47.91 | 15.4 |
| 68.00 | 10.8 |
| 25.68 | 10.7 |
| 23.43 | 3.8 |
| 32.47 | 3.4 |
| 53.95 | 3.1 |
| 42.58 | 2.9 |
| 52.78 | 1.8 |
| 64.93 | 1.8 |

Cell and atoms:
```
CuRe2Pt
1.0
-1.9497 1.9497 3.7975
1.9497 -1.9497 3.7975
1.9497 1.9497 -3.7975
Cu Re Pt
1 2 1
Cartesian
0.0000 0.0000 0.0000 Cu
1.9497 0.0000 1.8988 Re
0.0000 0.0000 3.7975 Re
0.0000 1.9497 1.8988 Pt
```